The following is a theoretical powder diffractogram of Pr2NiPtO6. It was derived from a cell relaxed with GGA+U, using Cu Ka.
No peak broadening, texture or thermal motion is included.

The 10 most intense peaks (5° ≤ 2θ ≤ 70°), in order of rising 2θ:
two_theta, I_rel, h k l
19.0, 12, 0 1 1
19.6, 12, 1 0 -2
30.8, 21, 0 2 0
31.9, 100, 1 1 -3
32.5, 25, 2 0 -2
45.4, 20, 2 2 -2
46.0, 13, 0 0 4
57.4, 11, 2 0 -6
57.5, 22, 3 1 -1
66.6, 11, 2 2 2

Atomic structure:
```
Pr2NiPtO6
1.0
5.517 0.000 0.000
0.000 5.804 0.000
-5.514 0.000 7.897
Pr Ni Pt O
4 2 2 12
Cartesian
-0.097 0.379 1.969 Pr
-2.854 2.523 5.918 Pr
2.857 3.281 1.979 Pr
0.100 5.425 5.927 Pr
-2.757 0.000 3.948 Ni
0.000 2.902 0.000 Ni
2.759 0.000 0.000 Pt
0.002 2.902 3.948 Pt
-4.416 1.157 7.496 O
-1.658 1.745 3.548 O
-3.824 4.087 7.487 O
-1.067 4.619 3.539 O
-2.208 0.171 5.929 O
0.549 2.731 1.981 O
-0.546 3.073 5.916 O
2.211 5.633 1.968 O
1.070 1.185 4.358 O
3.827 1.717 0.410 O
1.662 4.059 4.349 O
4.419 4.647 0.401 O
```